Calculated powder XRD pattern
Compound: U3Pt4
Radiation: Cu Kα X-rays
Structure: the PBE geometry in OQMD

Most intense lines, 2θ from 15° to 90°, low angle first:
Position (°2θ)	Rel. int.	h k l
32.2	30.3	4 -3 1
35.8	100.0	1 4 0
37.6	14.9	3 2 1
37.9	70.8	3 -2 2
42.7	19.0	3 1 2
53.1	16.4	4 2 2
65.5	13.6	9 -4 1
65.7	11.4	0 7 2

Structural model:
Unit cell a=13.2773 b=13.2773 c=5.6697 alpha=90.00 beta=90.00 gamma=120.00
Space group R-3 (No. 148, hexagonal axes)
Unique sites:
U  0.0496  0.2138  0.2374 (multiplicity 18)
Pt  0.0000  0.0000  0.0000 (multiplicity 3)
Pt  0.0000  0.0000  0.5000 (multiplicity 3)
Pt  0.0551  0.2736  0.7186 (multiplicity 18)